Diffraction record for In2Te3H2. The XRD peak list is computed, not measured: it uses a DFT-relaxed cell (GGA-PBE, Alexandria) and Cu Kα, 1.54184 Å.
Kinematic intensities with the Lorentz-polarization factor, no thermal factor.

Principal peaks in the range 5 to 70 degrees two-theta, low angle first:
2θ = 14.59°, rel. 38; 2θ = 17.73°, rel. 89; 2θ = 22.58°, rel. 28; 2θ = 24.98°, rel. 100; 2θ = 27.91°, rel. 34; 2θ = 32.99°, rel. 44; 2θ = 33.18°, rel. 44; 2θ = 33.30°, rel. 34; 2θ = 33.55°, rel. 34; 2θ = 35.91°, rel. 42; 2θ = 42.74°, rel. 27; 2θ = 44.76°, rel. 30

Structure:
```
data_In2Te3H2
_chemical_formula_sum 'In2 Te3 H2'
_space_group_name_H-M_alt 'P -1'
_space_group_IT_number 2
_space_group_name_Hall '-P 1'
_cell_length_a 5.004
_cell_length_b 7.140
_cell_length_c 7.147
_cell_angle_alpha 63.54
_cell_angle_beta 89.23
_cell_angle_gamma 88.72
loop_
_atom_site_label
_atom_site_type_symbol
_atom_site_fract_x
_atom_site_fract_y
_atom_site_fract_z
In1 In 0.003 0.276 0.224
Te1 Te 0.027 0.184 0.684
Te2 Te 0.500 0.500 0.000
H1 H 0.308 0.801 0.310
```